Diffraction record for TbHo5Al4. The powder XRD pattern is simulated, not measured: it uses DFT lattice parameters and positions (GGA-PBE) and Cu Kα (λ = 1.5418 Å).
Kinematic intensities with the Lorentz-polarization factor, no thermal factor.

Largest 6 diffraction maxima, in order of rising 2θ, 2θ from 15° to 90°:
- d = 3.561 Å, 2θ = 25.00°, intensity 40, (1 0 0)
- d = 2.635 Å, 2θ = 34.02°, intensity 100, (1 0 5)
- d = 2.518 Å, 2θ = 35.65°, intensity 62, (1 1 0)
- d = 1.781 Å, 2θ = 51.31°, intensity 27, (2 0 0)
- d = 1.593 Å, 2θ = 57.90°, intensity 26, (1 0 11)
- d = 1.475 Å, 2θ = 63.00°, intensity 34, (2 1 5)

Cell and atoms:
```
data_TbHo5Al4
_cell_length_a 3.561
_cell_length_b 3.561
_cell_length_c 19.587
_cell_angle_alpha 90.00
_cell_angle_beta 90.00
_cell_angle_gamma 90.00
_space_group_name_H-M_alt 'P 4/m m m'
_space_group_IT_number 123
_space_group_name_Hall '-P 4 2'
loop_
_atom_site_label
_atom_site_fract_x
_atom_site_fract_y
_atom_site_fract_z
Tb1 0.000 0.000 0.000
Ho1 0.500 0.500 0.129
Ho2 0.500 0.500 0.315
Ho3 0.500 0.500 0.500
Al1 0.000 0.000 0.222
Al2 0.000 0.000 0.407
```

---

Diffraction record for Ba3Hg3Au8. The powder XRD pattern is simulated, not measured: it uses DFT lattice parameters and positions (GGA-PBE) and Cu Kα (λ = 1.5418 Å).
Kinematic intensities with the Lorentz-polarization factor, no thermal factor.

Largest 6 diffraction maxima, in order of rising 2θ, 2θ from 15° to 90°:
- d = 2.859 Å, 2θ = 31.29°, intensity 100, (1 2 3)
- d = 2.768 Å, 2θ = 32.34°, intensity 35, (1 3 0)
- d = 2.593 Å, 2θ = 34.59°, intensity 37, (1 3 2)
- d = 2.471 Å, 2θ = 36.36°, intensity 56, (2 0 0)
- d = 2.448 Å, 2θ = 36.71°, intensity 34, (0 0 6)
- d = 2.213 Å, 2θ = 40.78°, intensity 47, (1 3 4)

Cell and atoms:
```
data_Ba3Hg3Au8
_cell_length_a 4.942
_cell_length_b 10.041
_cell_length_c 14.687
_cell_angle_alpha 90.00
_cell_angle_beta 90.00
_cell_angle_gamma 90.00
_space_group_name_H-M_alt 'I m m m'
_space_group_IT_number 71
_space_group_name_Hall '-I 2 2'
loop_
_atom_site_label
_atom_site_fract_x
_atom_site_fract_y
_atom_site_fract_z
Ba1 0.000 0.000 0.000
Ba2 0.000 0.000 0.298
Hg1 0.000 0.207 0.500
Hg2 0.000 0.500 0.000
Au1 0.000 0.278 0.141
Au2 0.000 0.362 0.335
```

---

Diffraction record for Tb3DySn. The powder XRD pattern is simulated, not measured: it uses DFT lattice parameters and positions (GGA-PBE) and Cu Kα (λ = 1.5418 Å).
Kinematic intensities with the Lorentz-polarization factor, no thermal factor.

Largest 6 diffraction maxima, in order of rising 2θ, 2θ from 15° to 90°:
- d = 2.918 Å, 2θ = 30.63°, intensity 55, (2 0 2)
- d = 2.840 Å, 2θ = 31.50°, intensity 65, (4 0 0)
- d = 2.642 Å, 2θ = 33.92°, intensity 100, (0 2 2)
- d = 2.423 Å, 2θ = 37.11°, intensity 75, (3 1 2)
- d = 2.250 Å, 2θ = 40.08°, intensity 55, (3 3 0)
- d = 1.935 Å, 2θ = 46.97°, intensity 60, (4 2 2)

Cell and atoms:
```
data_Tb3DySn
_cell_length_a 11.360
_cell_length_b 8.392
_cell_length_c 6.804
_cell_angle_alpha 90.00
_cell_angle_beta 90.00
_cell_angle_gamma 90.00
_space_group_name_H-M_alt 'I m a 2'
_space_group_IT_number 46
_space_group_name_Hall 'I 2 -2a'
loop_
_atom_site_label
_atom_site_fract_x
_atom_site_fract_y
_atom_site_fract_z
Tb1 0.031 0.234 0.000
Tb2 0.250 0.071 0.241
Dy1 0.250 0.747 0.469
Sn1 0.250 0.065 0.730
```

---

Diffraction record for AcEr2Ge4. The powder XRD pattern is simulated, not measured: it uses DFT lattice parameters and positions (GGA-PBE) and Cu Kα (λ = 1.5418 Å).
Kinematic intensities with the Lorentz-polarization factor, no thermal factor.

Largest 6 diffraction maxima, in order of rising 2θ, 2θ from 15° to 90°:
- d = 3.392 Å, 2θ = 26.28°, intensity 30, (1 0 3)
- d = 3.275 Å, 2θ = 27.23°, intensity 23, (0 0 6)
- d = 2.922 Å, 2θ = 30.60°, intensity 48, (0 1 5)
- d = 2.813 Å, 2θ = 31.81°, intensity 100, (1 1 2)
- d = 2.185 Å, 2θ = 41.31°, intensity 40, (0 2 0)
- d = 1.884 Å, 2θ = 48.31°, intensity 23, (1 1 8)

Cell and atoms:
```
data_AcEr2Ge4
_cell_length_a 3.965
_cell_length_b 4.370
_cell_length_c 19.649
_cell_angle_alpha 90.00
_cell_angle_beta 90.00
_cell_angle_gamma 90.00
_space_group_name_H-M_alt 'I m m m'
_space_group_IT_number 71
_space_group_name_Hall '-I 2 2'
loop_
_atom_site_label
_atom_site_fract_x
_atom_site_fract_y
_atom_site_fract_z
Ac1 0.000 0.000 0.000
Er1 0.000 0.500 0.315
Ge1 0.000 0.000 0.421
Ge2 0.000 0.500 0.166
```

---

Diffraction record for Th2BRh4. The powder XRD pattern is simulated, not measured: it uses DFT lattice parameters and positions (GGA-PBE) and Cu Kα (λ = 1.5418 Å).
Kinematic intensities with the Lorentz-polarization factor, no thermal factor.

Largest 6 diffraction maxima, in order of rising 2θ, 2θ from 15° to 90°:
- d = 2.966 Å, 2θ = 30.13°, intensity 42, (1 1 0)
- d = 2.748 Å, 2θ = 32.58°, intensity 61, (1 1 2)
- d = 2.434 Å, 2θ = 36.93°, intensity 36, (0 0 6)
- d = 2.302 Å, 2θ = 39.13°, intensity 100, (1 1 4)
- d = 2.098 Å, 2θ = 43.13°, intensity 59, (2 0 0)
- d = 1.589 Å, 2θ = 58.05°, intensity 39, (2 0 6)

Cell and atoms:
```
data_Th2BRh4
_cell_length_a 4.195
_cell_length_b 4.195
_cell_length_c 14.603
_cell_angle_alpha 90.00
_cell_angle_beta 90.00
_cell_angle_gamma 90.00
_space_group_name_H-M_alt 'I 4/m m m'
_space_group_IT_number 139
_space_group_name_Hall '-I 4 2'
loop_
_atom_site_label
_atom_site_fract_x
_atom_site_fract_y
_atom_site_fract_z
Th1 0.000 0.000 0.157
B1 0.000 0.000 0.500
Rh1 0.000 0.000 0.356
Rh2 0.000 0.500 0.000
```

---

Diffraction record for BaSr3Ag3. The powder XRD pattern is simulated, not measured: it uses DFT lattice parameters and positions (GGA-PBE) and Cu Kα (λ = 1.5418 Å).
Kinematic intensities with the Lorentz-polarization factor, no thermal factor.

Largest 6 diffraction maxima, in order of rising 2θ, 2θ from 15° to 90°:
- d = 4.361 Å, 2θ = 20.36°, intensity 41, (2 0 0)
- d = 3.561 Å, 2θ = 25.01°, intensity 100, (2 1 1)
- d = 2.518 Å, 2θ = 35.66°, intensity 26, (2 2 2)
- d = 2.331 Å, 2θ = 38.62°, intensity 63, (3 2 1)
- d = 2.181 Å, 2θ = 41.41°, intensity 31, (4 0 0)
- d = 1.542 Å, 2θ = 59.99°, intensity 20, (4 4 0)

Cell and atoms:
```
data_BaSr3Ag3
_cell_length_a 8.723
_cell_length_b 8.723
_cell_length_c 8.723
_cell_angle_alpha 90.00
_cell_angle_beta 90.00
_cell_angle_gamma 90.00
_space_group_name_H-M_alt 'P m -3 n'
_space_group_IT_number 223
_space_group_name_Hall '-P 4n 2 3'
loop_
_atom_site_label
_atom_site_fract_x
_atom_site_fract_y
_atom_site_fract_z
Ba1 0.000 0.000 0.000
Sr1 0.000 0.250 0.500
Ag1 0.000 0.500 0.250
```

---

Diffraction record for Ac2VHN3. The powder XRD pattern is simulated, not measured: it uses DFT lattice parameters and positions (GGA-PBE) and Cu Kα (λ = 1.5418 Å).
Kinematic intensities with the Lorentz-polarization factor, no thermal factor.

Largest 6 diffraction maxima, in order of rising 2θ, 2θ from 15° to 90°:
- d = 3.847 Å, 2θ = 23.12°, intensity 42, (0 1 1)
- d = 3.303 Å, 2θ = 26.99°, intensity 38, (0 0 4)
- d = 2.970 Å, 2θ = 30.09°, intensity 79, (0 1 3)
- d = 2.891 Å, 2θ = 30.94°, intensity 83, (1 0 3)
- d = 2.774 Å, 2θ = 32.27°, intensity 100, (1 1 0)
- d = 2.124 Å, 2θ = 42.56°, intensity 54, (1 1 4)

Cell and atoms:
```
data_Ac2VHN3
_cell_length_a 3.831
_cell_length_b 4.021
_cell_length_c 13.212
_cell_angle_alpha 90.00
_cell_angle_beta 90.00
_cell_angle_gamma 90.00
_space_group_name_H-M_alt 'I m m m'
_space_group_IT_number 71
_space_group_name_Hall '-I 2 2'
loop_
_atom_site_label
_atom_site_fract_x
_atom_site_fract_y
_atom_site_fract_z
Ac1 0.000 0.000 0.143
V1 0.000 0.000 0.500
H1 0.000 0.500 0.000
N1 0.000 0.000 0.348
N2 0.000 0.500 0.500
```

---

Diffraction record for TbCe2Ag2Hg2. The powder XRD pattern is simulated, not measured: it uses DFT lattice parameters and positions (GGA-PBE) and Cu Kα (λ = 1.5418 Å).
Kinematic intensities with the Lorentz-polarization factor, no thermal factor.

Largest 6 diffraction maxima, in order of rising 2θ, 2θ from 15° to 90°:
- d = 2.678 Å, 2θ = 33.46°, intensity 100, (1 0 7)
- d = 2.462 Å, 2θ = 36.49°, intensity 14, (0 1 8)
- d = 2.440 Å, 2θ = 36.83°, intensity 94, (1 1 0)
- d = 1.804 Å, 2θ = 50.60°, intensity 31, (0 2 7)
- d = 1.451 Å, 2θ = 64.21°, intensity 30, (2 1 7)
- d = 1.409 Å, 2θ = 66.35°, intensity 17, (3 0 0)

Cell and atoms:
```
data_TbCe2Ag2Hg2
_cell_length_a 4.8807
_cell_length_b 4.8807
_cell_length_c 24.2353
_cell_angle_alpha 90.00
_cell_angle_beta 90.00
_cell_angle_gamma 120.00
_space_group_name_H-M_alt 'R -3 m'
_space_group_IT_number 166
_space_group_name_Hall '-R 3 2"'
loop_
_atom_site_label
_atom_site_fract_x
_atom_site_fract_y
_atom_site_fract_z
Tb1 0.0000 0.0000 0.0000
Ce1 0.0000 0.0000 0.1412
Ag1 0.0000 0.0000 0.4146
Hg1 0.0000 0.0000 0.2735
```

---

Diffraction record for LaIn3Au3. The powder XRD pattern is simulated, not measured: it uses DFT lattice parameters and positions (GGA-PBE) and Cu Kα (λ = 1.5418 Å).
Kinematic intensities with the Lorentz-polarization factor, no thermal factor.

Largest 6 diffraction maxima, in order of rising 2θ, 2θ from 15° to 90°:
- d = 3.036 Å, 2θ = 29.42°, intensity 14, (2 0 1)
- d = 2.907 Å, 2θ = 30.76°, intensity 23, (1 2 0)
- d = 2.506 Å, 2θ = 35.83°, intensity 100, (1 2 1)
- d = 2.474 Å, 2θ = 36.32°, intensity 28, (0 0 2)
- d = 2.276 Å, 2θ = 39.59°, intensity 14, (3 0 1)
- d = 1.434 Å, 2θ = 65.02°, intensity 18, (1 2 3)

Cell and atoms:
```
data_LaIn3Au3
_cell_length_a 8.8813
_cell_length_b 8.8813
_cell_length_c 4.9472
_cell_angle_alpha 90.00
_cell_angle_beta 90.00
_cell_angle_gamma 120.00
_space_group_name_H-M_alt 'P 63/m'
_space_group_IT_number 176
_space_group_name_Hall '-P 6c'
loop_
_atom_site_label
_atom_site_fract_x
_atom_site_fract_y
_atom_site_fract_z
La1 0.3333 0.6667 0.2500
In1 0.0273 0.2515 0.7500
Au1 0.0792 0.6063 0.7500
```

---

Diffraction record for Li5Pm4Sb6. The powder XRD pattern is simulated, not measured: it uses DFT lattice parameters and positions (GGA-PBE) and Cu Kα (λ = 1.5418 Å).
Kinematic intensities with the Lorentz-polarization factor, no thermal factor.

Largest 6 diffraction maxima, in order of rising 2θ, 2θ from 15° to 90°:
- d = 3.190 Å, 2θ = 27.97°, intensity 59, (0 4 4)
- d = 3.112 Å, 2θ = 28.69°, intensity 60, (0 2 5)
- d = 3.053 Å, 2θ = 29.25°, intensity 85, (1 5 0)
- d = 3.012 Å, 2θ = 29.66°, intensity 100, (1 1 4)
- d = 2.662 Å, 2θ = 33.67°, intensity 98, (1 5 3)
- d = 2.289 Å, 2θ = 39.36°, intensity 69, (2 0 0)

Cell and atoms:
```
data_Li5Pm4Sb6
_cell_length_a 4.579
_cell_length_b 20.487
_cell_length_c 16.308
_cell_angle_alpha 90.00
_cell_angle_beta 90.00
_cell_angle_gamma 90.00
_space_group_name_H-M_alt 'C m c 21'
_space_group_IT_number 36
_space_group_name_Hall 'C 2c -2'
loop_
_atom_site_label
_atom_site_fract_x
_atom_site_fract_y
_atom_site_fract_z
Li1 0.000 0.064 0.000
Li2 0.000 0.150 0.313
Li3 0.000 0.156 0.585
Li4 0.000 0.197 0.945
Li5 0.000 0.348 0.948
Pm1 0.000 0.320 0.270
Pm2 0.000 0.327 0.623
Pm3 0.000 0.471 0.084
Pm4 0.000 0.484 0.823
Sb1 0.000 0.066 0.451
Sb2 0.000 0.067 0.175
Sb3 0.000 0.075 0.726
Sb4 0.000 0.275 0.086
Sb5 0.000 0.279 0.808
Sb6 0.000 0.389 0.445
```

---

Diffraction record for Dy9Y2Er. The powder XRD pattern is simulated, not measured: it uses DFT lattice parameters and positions (GGA-PBE) and Cu Kα (λ = 1.5418 Å).
Kinematic intensities with the Lorentz-polarization factor, no thermal factor.

Largest 6 diffraction maxima, in order of rising 2θ, 2θ from 15° to 90°:
- d = 2.895 Å, 2θ = 30.88°, intensity 100, (1 1 3)
- d = 2.508 Å, 2θ = 35.81°, intensity 51, (2 0 0)
- d = 1.773 Å, 2θ = 51.54°, intensity 36, (2 2 0)
- d = 1.512 Å, 2θ = 61.31°, intensity 43, (3 1 3)
- d = 1.151 Å, 2θ = 84.14°, intensity 18, (3 3 3)
- d = 1.121 Å, 2θ = 86.86°, intensity 17, (4 2 0)

Cell and atoms:
```
data_Dy9Y2Er
_cell_length_a 5.015
_cell_length_b 5.015
_cell_length_c 15.045
_cell_angle_alpha 90.00
_cell_angle_beta 90.00
_cell_angle_gamma 90.00
_space_group_name_H-M_alt 'P 4/m m m'
_space_group_IT_number 123
_space_group_name_Hall '-P 4 2'
loop_
_atom_site_label
_atom_site_fract_x
_atom_site_fract_y
_atom_site_fract_z
Dy1 0.000 0.000 0.000
Dy2 0.000 0.000 0.333
Dy3 0.000 0.500 0.165
Dy4 0.000 0.500 0.500
Y1 0.500 0.500 0.333
Er1 0.500 0.500 0.000
```

---

Diffraction record for Zn2MoCl8. The powder XRD pattern is simulated, not measured: it uses DFT lattice parameters and positions (GGA-PBE) and Cu Kα (λ = 1.5418 Å).
Kinematic intensities with the Lorentz-polarization factor, no thermal factor.

Largest 6 diffraction maxima, in order of rising 2θ, 2θ from 15° to 90°:
- d = 4.746 Å, 2θ = 18.70°, intensity 100, (2 0 -1)
- d = 3.383 Å, 2θ = 26.34°, intensity 58, (3 1 1)
- d = 3.205 Å, 2θ = 27.83°, intensity 57, (4 0 -1)
- d = 2.857 Å, 2θ = 31.31°, intensity 80, (2 2 1)
- d = 2.744 Å, 2θ = 32.63°, intensity 62, (1 1 2)
- d = 2.052 Å, 2θ = 44.14°, intensity 78, (6 2 0)

Cell and atoms:
```
data_Zn2MoCl8
_cell_length_a 14.977
_cell_length_b 7.209
_cell_length_c 6.072
_cell_angle_alpha 90.00
_cell_angle_beta 90.75
_cell_angle_gamma 90.00
_space_group_name_H-M_alt 'C 1 2/m 1'
_space_group_IT_number 12
_space_group_name_Hall '-C 2y'
loop_
_atom_site_label
_atom_site_fract_x
_atom_site_fract_y
_atom_site_fract_z
Zn1 0.158 0.000 0.411
Mo1 0.000 0.000 0.000
Cl1 0.064 0.230 0.243
Cl2 0.136 0.000 0.798
Cl3 0.201 0.500 0.653
```